# 1
Structure and theoretical powder diffraction line list of K2MnAlF6 (a cell relaxed with PBE+U; Cu Kα (λ = 1.5418 Å)).
No peak broadening, texture or thermal motion is included.

Cell and atoms:
Unit cell a=6.0502 b=6.0502 c=6.0502 alpha=120.04 beta=119.91 gamma=90.04
Fractional positions:
K1 0.2499 0.2499 0.0000
K2 0.7501 0.7501 0.0000
Mn1 0.5000 0.0000 0.5000
Al1 0.0000 0.5000 0.5000
F1 0.2154 0.2840 0.4995
F2 0.2154 0.7160 0.9314
F3 0.2159 0.7159 0.5000
F4 0.7841 0.2841 0.5000
F5 0.7846 0.2840 0.0686
F6 0.7846 0.7160 0.5005

Largest 8 diffraction maxima, low angle first, 10° ≤ 2θ ≤ 90°:
d/Å  I/Imax
4.279  15
3.025  100
2.470  23
2.139  72
1.963  13
1.747  30
1.513  30
1.353  20

# 2
Structure and theoretical powder diffraction line list of KMnAl2F8 (a cell relaxed with PBE+U; Cu Kα (λ = 1.5418 Å)).
No peak broadening, texture or thermal motion is included.

Cell and atoms:
Unit cell a=8.4972 b=8.4972 c=8.4972 alpha=37.30 beta=37.30 gamma=37.30
Fractional positions:
K1 0.0000 0.0000 0.0000
Mn1 0.5000 0.5000 0.5000
Al1 0.2444 0.2444 0.2444
Al2 0.7556 0.7556 0.7556
F1 0.0905 0.7573 0.4816
F2 0.2427 0.5184 0.9095
F3 0.3164 0.3164 0.3164
F4 0.4816 0.0905 0.7573
F5 0.5184 0.9095 0.2427
F6 0.6836 0.6836 0.6836
F7 0.7573 0.4816 0.0905
F8 0.9095 0.2427 0.5184

Largest 8 diffraction maxima, low angle first, 10° ≤ 2θ ≤ 90°:
d/Å  I/Imax
3.685  100
2.718  30
2.570  26
2.506  15
2.239  32
1.704  15
1.597  22
1.569  21